Diffraction record for Nd2Y3Er. The PXRD pattern is computed, not measured: it uses the PBE geometry in Alexandria and copper Kα.
Neutral-atom scattering factors, no anomalous dispersion.

The 8 most intense peaks (2θ = 15–90°), sorted by position:
| hkl | d/Å | Rel. int. |
| --- | --- | --- |
| 1 3 0 | 3.175 | 39 |
| 2 2 1 | 2.920 | 35 |
| 1 3 -1 | 2.873 | 74 |
| 5 1 -1 | 2.845 | 100 |
| 3 1 -2 | 2.827 | 37 |
| 4 2 0 | 2.801 | 75 |
| 8 0 0 | 1.709 | 34 |
| 6 4 -2 | 1.662 | 34 |

Structure:
Unit cell a=14.9316 b=9.7948 c=6.0476 alpha=90.00 beta=113.83 gamma=90.00
Space group C2/c (No. 15)
Asymmetric unit:
Nd (0.1333, 0.2181, 0.3835)
Y (0.0000, 0.1101, 0.7500)
Y (0.2308, 0.4159, 0.9801)
Er (0.0000, 0.5000, 0.0000)